# 1
Simulated powder diffraction line list
Compound: ZrIn
Radiation: Cu Kα (weighted mean of Kα1 and Kα2)
Structure: a crystal structure in the Materials Project, relaxed with GGA-PBE
Lines closer than 0.1° are merged.

Top 8 peaks for 15 to 90 degrees two-theta, low angle first:
d (Å), 2θ (°), I (rel.)
2.633, 34.0, 100.0
2.561, 35.0, 30.8
2.264, 39.8, 64.5
1.618, 56.9, 21.9
1.584, 58.2, 20.4
1.379, 68.0, 12.6
1.368, 68.6, 24.6
1.347, 69.8, 11.7

Structural model:
```
2
Lattice="1.6183 0.9343 5.1216 -1.6183 0.9343 5.1216 0.0000 -1.8687 5.1216" Properties=species:S:1:pos:R:3 pbc="T T T"
Zr 0.0000 0.0000 0.0000
In 0.0000 0.0000 7.6824
```



# 2
Simulated powder diffraction line list
Compound: ZrIn
Radiation: Cu Kα (weighted mean of Kα1 and Kα2)
Structure: a crystal structure in the Materials Project, relaxed with GGA-PBE
Lines closer than 0.1° are merged.

Top 8 peaks for 15 to 90 degrees two-theta, low angle first:
d (Å), 2θ (°), I (rel.)
2.580, 34.8, 100.0
2.237, 40.3, 32.9
2.229, 40.5, 16.3
1.582, 58.3, 10.8
1.579, 58.5, 21.4
1.349, 69.7, 24.8
1.345, 69.9, 12.3
1.290, 73.4, 10.7

Structural model:
```
2
Lattice="3.1636 0.0000 0.0000 0.0000 3.1636 0.0000 0.0000 0.0000 4.4577" Properties=species:S:1:pos:R:3 pbc="T T T"
Zr 0.0000 0.0000 0.0000
In 1.5818 1.5818 2.2288
```



# 3
Simulated powder diffraction line list
Compound: ZrIn2
Radiation: Cu Kα (weighted mean of Kα1 and Kα2)
Structure: a crystal structure in the Materials Project, relaxed with GGA-PBE
Lines closer than 0.1° are merged.

Top 8 peaks for 15 to 90 degrees two-theta, low angle first:
d (Å), 2θ (°), I (rel.)
2.594, 34.6, 100.0
2.299, 39.2, 16.3
2.221, 40.6, 32.6
1.597, 57.7, 20.3
1.571, 58.8, 10.6
1.377, 68.1, 10.7
1.343, 70.0, 24.1
1.297, 73.0, 9.9

Structural model:
```
12
Lattice="-2.2212 2.2212 13.7917 2.2212 -2.2212 13.7917 2.2212 2.2212 -13.7917" Properties=species:S:1:pos:R:3 pbc="T T T"
Zr 2.2212 1.1106 1.3136
Zr 2.2212 1.1106 5.5822
Zr 0.0000 1.1106 8.2094
Zr 0.0000 1.1106 12.4781
In 2.2212 -1.1106 7.9197
In 2.2212 1.1106 -3.4620
In 2.2212 -1.1106 12.7678
In 0.0000 1.1106 3.4339
In 2.2212 1.1106 10.3578
In 0.0000 3.3318 1.0239
In 0.0000 1.1106 17.2537
In 0.0000 3.3318 5.8719
```



# 4
Simulated powder diffraction line list
Compound: K2IrN2
Radiation: Cu Kα (weighted mean of Kα1 and Kα2)
Structure: a crystal structure in the Materials Project, relaxed with GGA-PBE
Lines closer than 0.1° are merged.

Top 8 peaks for 15 to 90 degrees two-theta, low angle first:
d (Å), 2θ (°), I (rel.)
4.438, 20.0, 90.0
3.280, 27.2, 43.0
3.260, 27.4, 100.0
2.743, 32.6, 93.5
2.709, 33.1, 61.1
2.544, 35.3, 43.0
2.349, 38.3, 48.9
1.746, 52.4, 37.5

Structural model:
```
5
Lattice="-1.6899 2.3476 6.7944 1.6899 -2.3476 6.7944 1.6899 2.3476 -6.7944" Properties=species:S:1:pos:R:3 pbc="T T T"
K 0.0000 0.0000 2.0730
K 0.0000 0.0000 11.5158
Ir 0.0000 0.0000 6.7944
N 0.0000 0.0000 5.0039
N 0.0000 0.0000 8.5848
```



# 5
Simulated powder diffraction line list
Compound: K3IrN6O12
Radiation: Cu Kα (weighted mean of Kα1 and Kα2)
Structure: a crystal structure in the Materials Project, relaxed with GGA-PBE
Lines closer than 0.1° are merged.

Top 8 peaks for 15 to 90 degrees two-theta, low angle first:
d (Å), 2θ (°), I (rel.)
5.216, 17.0, 37.9
3.688, 24.1, 100.0
3.145, 28.4, 35.1
3.011, 29.7, 40.4
2.608, 34.4, 94.7
2.129, 42.5, 64.1
2.007, 45.2, 46.9
1.844, 49.4, 43.5

Structural model:
```
22
Lattice="0.0000 5.2156 5.2156 5.2156 0.0000 5.2156 5.2156 5.2156 0.0000" Properties=species:S:1:pos:R:3 pbc="T T T"
K 0.0000 0.0000 0.0000
K 2.6078 2.6078 2.6078
K 7.8234 7.8234 7.8234
Ir 5.2156 5.2156 5.2156
N 5.2156 5.2156 3.1919
N 5.2156 3.1919 5.2156
N 7.2393 5.2156 5.2156
N 3.1919 5.2156 5.2156
N 5.2156 7.2393 5.2156
N 5.2156 5.2156 7.2393
O 5.2156 3.0762 3.0762
O 7.3549 5.2156 3.0762
O 7.3549 3.0762 5.2156
O 3.0762 5.2156 3.0762
O 5.2156 7.3549 3.0762
O 3.0762 3.0762 5.2156
O 7.3549 7.3549 5.2156
O 5.2156 3.0762 7.3549
O 7.3549 5.2156 7.3549
O 3.0762 7.3549 5.2156
O 3.0762 5.2156 7.3549
O 5.2156 7.3549 7.3549
```



# 6
Simulated powder diffraction line list
Compound: K2Na2IrO4
Radiation: Cu Kα (weighted mean of Kα1 and Kα2)
Structure: a crystal structure in the Materials Project, relaxed with GGA-PBE
Lines closer than 0.1° are merged.

Top 8 peaks for 15 to 90 degrees two-theta, low angle first:
d (Å), 2θ (°), I (rel.)
5.606, 15.8, 58.3
4.739, 18.7, 100.0
4.356, 20.4, 98.8
4.069, 21.8, 78.9
3.291, 27.1, 61.9
2.932, 30.5, 38.8
2.732, 32.8, 81.3
2.674, 33.5, 56.0

Structural model:
```
36
Lattice="6.0876 0.0000 0.0000 0.0000 11.2974 0.0000 -3.6860 0.0000 8.7072" Properties=species:S:1:pos:R:3 pbc="T T T"
K -0.0680 1.5181 2.4282
K -1.9111 4.1306 6.7818
K 0.9996 7.2013 0.0219
K -0.8434 9.7448 4.3755
K 3.2450 1.5526 4.3317
K 1.4019 4.0961 8.6853
K 4.3126 7.1668 1.9254
K 2.4696 9.7793 6.2790
Na -2.9397 1.2250 7.8868
Na -1.0967 4.4237 3.5332
Na 1.1358 6.9233 3.5274
Na -0.7072 10.0227 7.8810
Na 3.1088 1.2747 0.8263
Na 1.2657 4.3740 5.1799
Na 3.4983 6.8737 5.1740
Na 5.3413 10.0724 0.8204
Ir 0.2710 1.4669 6.3486
Ir 2.1141 4.1818 1.9950
Ir 0.2875 7.1156 6.7122
Ir 2.1305 9.8305 2.3586
O -1.3418 0.3931 6.3060
O 0.5012 5.2556 1.9524
O -1.3264 8.1855 6.6293
O 0.5166 8.7606 2.2757
O -0.3921 2.6024 4.9322
O 1.4509 3.0463 0.5785
O -0.3965 6.0427 5.2331
O 1.4465 10.9034 0.8795
O 0.9550 0.3940 7.8277
O 2.7981 5.2547 3.4741
O 0.9506 8.2510 8.1287
O 2.7936 8.6950 3.7751
O 1.8850 2.5368 6.4316
O 3.7280 3.1119 2.0780
O 1.9004 6.0418 6.7549
O 3.7434 10.9043 2.4013
```



# 7
Simulated powder diffraction line list
Compound: KIrO3
Radiation: Cu Kα (weighted mean of Kα1 and Kα2)
Structure: a crystal structure in the Materials Project, relaxed with GGA-PBE
Lines closer than 0.1° are merged.

Top 8 peaks for 15 to 90 degrees two-theta, low angle first:
d (Å), 2θ (°), I (rel.)
4.791, 18.5, 37.2
3.030, 29.5, 100.0
2.561, 35.0, 76.5
1.879, 48.4, 52.4
1.597, 57.7, 32.2
1.554, 59.5, 17.5
1.413, 66.1, 19.1
1.114, 87.6, 17.2

Structural model:
```
60
Lattice="9.5823 0.0000 0.0000 0.0000 9.5823 0.0000 0.0000 0.0000 9.5823" Properties=species:S:1:pos:R:3 pbc="T T T"
K 0.0000 0.0000 0.0000
K 0.0000 4.7912 4.7912
K 0.9137 0.9137 3.8775
K 0.9137 3.8775 0.9137
K 3.8775 0.9137 0.9137
K 3.8775 3.8775 3.8775
K 4.7912 0.0000 4.7912
K 4.7912 4.7912 0.0000
K 5.7048 5.7048 5.7048
K 5.7048 8.6687 8.6687
K 8.6687 5.7048 8.6687
K 8.6687 8.6687 5.7048
Ir 0.8742 2.3956 7.1868
Ir 2.3956 5.6653 7.1868
Ir 2.3956 7.1868 0.8742
Ir 2.3956 7.1868 3.9170
Ir 2.3956 8.7082 7.1868
Ir 3.9170 2.3956 7.1868
Ir 5.6653 7.1868 2.3956
Ir 7.1868 0.8742 2.3956
Ir 7.1868 2.3956 5.6653
Ir 7.1868 2.3956 8.7082
Ir 7.1868 3.9170 2.3956
Ir 8.7082 7.1868 2.3956
O 0.4383 7.1552 0.9271
O 0.4383 7.2183 3.8640
O 0.9271 0.4383 7.1552
O 0.9271 4.3528 7.2183
O 1.0858 7.1868 7.1868
O 2.3641 5.7183 9.1440
O 2.3641 8.6552 5.2295
O 2.3956 2.3956 5.8769
O 2.3956 2.3956 8.4966
O 2.3956 5.8769 2.3956
O 2.3956 8.4966 2.3956
O 2.4271 5.7183 5.2295
O 2.4271 8.6552 9.1440
O 3.7054 7.1868 7.1868
O 3.8640 0.4383 7.2183
O 3.8640 4.3528 7.1552
O 4.3528 7.1552 3.8640
O 4.3528 7.2183 0.9271
O 5.2295 2.3641 8.6552
O 5.2295 2.4271 5.7183
O 5.7183 5.2295 2.4271
O 5.7183 9.1440 2.3641
O 5.8769 2.3956 2.3956
O 7.1552 0.9271 0.4383
O 7.1552 3.8640 4.3528
O 7.1868 1.0858 7.1868
O 7.1868 3.7054 7.1868
O 7.1868 7.1868 1.0858
O 7.1868 7.1868 3.7054
O 7.2183 0.9271 4.3528
O 7.2183 3.8640 0.4383
O 8.4966 2.3956 2.3956
O 8.6552 5.2295 2.3641
O 8.6552 9.1440 2.4271
O 9.1440 2.3641 5.7183
O 9.1440 2.4271 8.6552
```